The following is a computed X-ray powder pattern of LiFe3P6O20. It was derived from the PBE+U geometry in the Materials Project, using copper Kα.
Lines closer than 0.1° are merged.

Atomic structure:
a b c (Å): 8.422 8.422 12.327
angles (deg): 90.00 90.00 104.93
Sites, in units of the cell vectors:
Li 0.086 0.086 0.000
Li 0.914 0.914 0.500
Fe 0.201 0.799 0.250
Fe 0.261 0.739 0.750
Fe 0.371 0.371 0.000
Fe 0.629 0.629 0.500
Fe 0.739 0.261 0.250
Fe 0.799 0.201 0.750
P 0.129 0.409 0.316
P 0.198 0.319 0.778
P 0.236 0.649 0.487
P 0.319 0.198 0.222
P 0.351 0.764 0.013
P 0.409 0.129 0.684
P 0.591 0.871 0.184
P 0.649 0.236 0.513
P 0.681 0.802 0.722
P 0.764 0.351 0.987
P 0.802 0.681 0.278
P 0.871 0.591 0.816
O 0.026 0.726 0.802
O 0.037 0.226 0.730
O 0.142 0.465 0.441
O 0.158 0.555 0.242
O 0.181 0.653 0.603
O 0.183 0.774 0.415
O 0.226 0.037 0.270
O 0.226 0.817 0.085
O 0.227 0.241 0.891
O 0.236 0.502 0.794
O 0.241 0.227 0.109
O 0.274 0.974 0.698
O 0.287 0.336 0.305
O 0.336 0.287 0.695
O 0.346 0.580 0.026
O 0.347 0.819 0.897
O 0.420 0.654 0.474
O 0.445 0.842 0.258
O 0.465 0.142 0.559
O 0.498 0.764 0.706
O 0.502 0.236 0.206
O 0.535 0.858 0.059
O 0.555 0.158 0.758
O 0.580 0.346 0.974
O 0.653 0.181 0.397
O 0.654 0.420 0.526
O 0.664 0.713 0.195
O 0.713 0.664 0.805
O 0.726 0.026 0.198
O 0.759 0.773 0.609
O 0.764 0.498 0.294
O 0.773 0.759 0.391
O 0.774 0.183 0.585
O 0.774 0.963 0.770
O 0.817 0.226 0.915
O 0.819 0.347 0.103
O 0.842 0.445 0.742
O 0.858 0.535 0.941
O 0.963 0.774 0.230
O 0.974 0.274 0.302

Main lines, by angle (2θ from 10° to 90°):
2θ/deg	d (Å)	I (rel.)
10.9	8.138	34.1
13.3	6.679	23.1
14.4	6.164	46.4
18.1	4.913	56.3
21.8	4.069	100.0
23.0	3.871	92.6
26.2	3.400	33.9
29.0	3.082	36.5
32.8	2.729	29.6
36.6	2.458	15.4